Diffraction record for Mg6CrCdO8. The powder XRD pattern is computed, not measured: it uses the GGA+U geometry in the Materials Project and Cu Kα X-rays.
Intensities are scaled so that the largest is 100.

Crystal structure
abc: 4.4110 4.4110 8.6678
angles: 90.00 90.00 90.00
Atoms (fractional coordinates):
Mg 0.0000 0.0000 0.0000
Mg 0.0000 0.0000 0.5000
Mg 0.0000 0.5000 0.2450
Mg 0.0000 0.5000 0.7550
Mg 0.5000 0.0000 0.2450
Mg 0.5000 0.0000 0.7550
Cr 0.5000 0.5000 0.0000
Cd 0.5000 0.5000 0.5000
O 0.0000 0.0000 0.2500
O 0.0000 0.0000 0.7500
O 0.0000 0.5000 0.0000
O 0.0000 0.5000 0.5000
O 0.5000 0.0000 0.0000
O 0.5000 0.0000 0.5000
O 0.5000 0.5000 0.2346
O 0.5000 0.5000 0.7654

Peak list (12 most intense, 15° ≤ 2θ ≤ 90°, in order of rising 2θ)
- 20.1 deg, d 4.411, I 43.1
- 20.5 deg, d 4.334, I 21.0
- 22.6 deg, d 3.931, I 14.9
- 28.6 deg, d 3.119, I 18.2
- 28.9 deg, d 3.091, I 36.0
- 35.5 deg, d 2.532, I 54.0
- 40.9 deg, d 2.206, I 100.0
- 41.7 deg, d 2.167, I 46.5
- 59.3 deg, d 1.560, I 29.2
- 59.8 deg, d 1.546, I 55.7
- 71.0 deg, d 1.328, I 17.1
- 75.0 deg, d 1.266, I 26.0

=====

Diffraction record for MgCr2Cd2O8. The powder XRD pattern is computed, not measured: it uses the GGA+U geometry in the Materials Project and Cu Kα X-rays.
Intensities are scaled so that the largest is 100.

Crystal structure
abc: 6.6228 5.4621 5.4621
angles: 66.45 90.00 90.00
Atoms (fractional coordinates):
Mg 0.0000 0.0000 0.0000
Cr 0.0000 0.3052 0.3052
Cr 0.5000 0.0145 0.0145
Cd 0.2520 0.6566 0.6566
Cd 0.7480 0.6566 0.6566
O 0.0000 0.3905 0.9421
O 0.0000 0.9421 0.3905
O 0.2103 0.4014 0.4014
O 0.2760 0.9093 0.9093
O 0.5000 0.3561 0.8794
O 0.5000 0.8794 0.3561
O 0.7240 0.9093 0.9093
O 0.7897 0.4014 0.4014

Peak list (12 most intense, 15° ≤ 2θ ≤ 90°, in order of rising 2θ)
- 17.7 deg, d 5.007, I 41.9
- 19.4 deg, d 4.569, I 32.4
- 22.3 deg, d 3.994, I 18.1
- 29.9 deg, d 2.993, I 41.6
- 32.4 deg, d 2.762, I 100.0
- 33.0 deg, d 2.715, I 58.9
- 45.4 deg, d 1.997, I 26.9
- 48.4 deg, d 1.880, I 18.9
- 54.6 deg, d 1.680, I 17.6
- 55.0 deg, d 1.669, I 14.5
- 57.9 deg, d 1.592, I 32.8
- 66.1 deg, d 1.414, I 13.9

=====

Diffraction record for Mg6CrCdO8. The powder XRD pattern is computed, not measured: it uses the GGA+U geometry in the Materials Project and Cu Kα X-rays.
Intensities are scaled so that the largest is 100.

Crystal structure
abc: 4.4320 4.4320 8.6019
angles: 90.00 90.00 90.00
Atoms (fractional coordinates):
Mg 0.0000 0.0000 0.0000
Mg 0.0000 0.5000 0.2455
Mg 0.0000 0.5000 0.7545
Mg 0.5000 0.0000 0.2455
Mg 0.5000 0.0000 0.7545
Mg 0.5000 0.5000 0.0000
Cr 0.0000 0.0000 0.5000
Cd 0.5000 0.5000 0.5000
O 0.0000 0.0000 0.2509
O 0.0000 0.0000 0.7491
O 0.0000 0.5000 0.0000
O 0.0000 0.5000 0.5000
O 0.5000 0.0000 0.0000
O 0.5000 0.0000 0.5000
O 0.5000 0.5000 0.2326
O 0.5000 0.5000 0.7674

Peak list (12 most intense, 15° ≤ 2θ ≤ 90°, in order of rising 2θ)
- 20.7 deg, d 4.301, I 20.3
- 22.6 deg, d 3.940, I 14.4
- 28.5 deg, d 3.134, I 18.2
- 30.4 deg, d 2.945, I 30.4
- 35.4 deg, d 2.533, I 53.3
- 40.7 deg, d 2.216, I 100.0
- 42.0 deg, d 2.150, I 55.5
- 42.7 deg, d 2.115, I 11.8
- 58.9 deg, d 1.567, I 29.3
- 59.9 deg, d 1.543, I 58.0
- 70.7 deg, d 1.333, I 17.1
- 75.0 deg, d 1.266, I 25.6

=====

Diffraction record for Cr2CdO4. The powder XRD pattern is computed, not measured: it uses the GGA+U geometry in the Materials Project and Cu Kα X-rays.
Intensities are scaled so that the largest is 100.

Crystal structure
abc: 6.2034 6.2034 6.2034
angles: 60.00 60.00 60.00
Atoms (fractional coordinates):
Cr 0.0000 0.0000 0.0000
Cr 0.0000 0.0000 0.5000
Cr 0.0000 0.5000 0.0000
Cr 0.5000 0.0000 0.0000
Cd 0.3750 0.3750 0.3750
Cd 0.6250 0.6250 0.6250
O 0.1946 0.7685 0.7685
O 0.2315 0.2315 0.2315
O 0.2315 0.2315 0.8054
O 0.2315 0.8054 0.2315
O 0.7685 0.1946 0.7685
O 0.7685 0.7685 0.1946
O 0.7685 0.7685 0.7685
O 0.8054 0.2315 0.2315

Peak list (12 most intense, 15° ≤ 2θ ≤ 90°, in order of rising 2θ)
- 28.8 deg, d 3.102, I 63.1
- 33.9 deg, d 2.645, I 100.0
- 35.4 deg, d 2.533, I 3.7
- 45.0 deg, d 2.013, I 5.1
- 51.0 deg, d 1.791, I 22.0
- 54.3 deg, d 1.688, I 39.5
- 59.6 deg, d 1.551, I 36.5
- 67.5 deg, d 1.387, I 8.4
- 70.4 deg, d 1.338, I 11.1
- 82.2 deg, d 1.172, I 12.3
- 84.9 deg, d 1.142, I 17.6
- 89.3 deg, d 1.097, I 5.0

=====

Diffraction record for Cs4CdNi3F12. The powder XRD pattern is computed, not measured: it uses the GGA+U geometry in the Materials Project and Cu Kα X-rays.
Intensities are scaled so that the largest is 100.

Crystal structure
abc: 10.7822 10.7822 10.7822
angles: 33.98 33.98 33.98
Atoms (fractional coordinates):
Cs 0.1302 0.1302 0.1302
Cs 0.2851 0.2851 0.2851
Cs 0.7149 0.7149 0.7149
Cs 0.8698 0.8698 0.8698
Cd 0.0000 0.0000 0.0000
Ni 0.4102 0.4102 0.4102
Ni 0.5000 0.5000 0.5000
Ni 0.5898 0.5898 0.5898
F 0.1746 0.5971 0.5971
F 0.2163 0.2163 0.6927
F 0.2163 0.6927 0.2163
F 0.3073 0.7837 0.7837
F 0.4029 0.4029 0.8254
F 0.4029 0.8254 0.4029
F 0.5971 0.1746 0.5971
F 0.5971 0.5971 0.1746
F 0.6927 0.2163 0.2163
F 0.7837 0.3073 0.7837
F 0.7837 0.7837 0.3073
F 0.8254 0.4029 0.4029

Peak list (12 most intense, 15° ≤ 2θ ≤ 90°, in order of rising 2θ)
- 26.2 deg, d 3.401, I 69.0
- 28.3 deg, d 3.150, I 100.0
- 28.6 deg, d 3.122, I 19.4
- 36.1 deg, d 2.490, I 14.7
- 39.0 deg, d 2.311, I 46.5
- 44.9 deg, d 2.020, I 12.2
- 48.9 deg, d 1.864, I 21.5
- 50.2 deg, d 1.819, I 19.4
- 53.7 deg, d 1.707, I 13.4
- 53.9 deg, d 1.701, I 13.7
- 58.6 deg, d 1.575, I 21.4
- 62.0 deg, d 1.497, I 16.8

=====

Diffraction record for KV3CdCu4O13. The powder XRD pattern is computed, not measured: it uses the GGA+U geometry in the Materials Project and Cu Kα X-rays.
Intensities are scaled so that the largest is 100.

Crystal structure
abc: 8.4622 6.2718 10.9216
angles: 90.00 97.54 90.00
Atoms (fractional coordinates):
K 0.0136 0.2500 0.3951
K 0.9864 0.7500 0.6049
V 0.0356 0.7500 0.2064
V 0.3210 0.7500 0.8798
V 0.3596 0.7500 0.4946
V 0.6404 0.2500 0.5054
V 0.6790 0.2500 0.1202
V 0.9644 0.2500 0.7936
Cd 0.3059 0.2500 0.6372
Cd 0.6941 0.7500 0.3628
Cu 0.0999 0.2500 0.1020
Cu 0.3565 0.2500 0.9397
Cu 0.3912 0.0034 0.2240
Cu 0.3912 0.4966 0.2240
Cu 0.6088 0.5034 0.7760
Cu 0.6088 0.9966 0.7760
Cu 0.6435 0.7500 0.0603
Cu 0.9001 0.7500 0.8980
O 0.0504 0.2500 0.6623
O 0.1195 0.7500 0.8776
O 0.1201 0.2500 0.9204
O 0.1581 0.5196 0.2106
O 0.1581 0.9804 0.2106
O 0.2444 0.5313 0.5149
O 0.2444 0.9687 0.5149
O 0.3375 0.2500 0.1207
O 0.3809 0.5094 0.8072
O 0.3809 0.9906 0.8072
O 0.4114 0.7500 0.0324
O 0.4229 0.7500 0.3306
O 0.4774 0.2500 0.3959
O 0.5226 0.7500 0.6041
O 0.5771 0.2500 0.6694
O 0.5886 0.2500 0.9676
O 0.6191 0.0094 0.1928
O 0.6191 0.4906 0.1928
O 0.6625 0.7500 0.8793
O 0.7556 0.0313 0.4851
O 0.7556 0.4687 0.4851
O 0.8419 0.0196 0.7894
O 0.8419 0.4804 0.7894
O 0.8799 0.7500 0.0796
O 0.8805 0.2500 0.1224
O 0.9496 0.7500 0.3377

Peak list (12 most intense, 15° ≤ 2θ ≤ 90°, in order of rising 2θ)
- 17.7 deg, d 5.023, I 31.0
- 21.7 deg, d 4.098, I 45.6
- 28.5 deg, d 3.135, I 54.7
- 28.9 deg, d 3.089, I 43.8
- 31.6 deg, d 2.828, I 78.0
- 32.0 deg, d 2.799, I 100.0
- 33.0 deg, d 2.713, I 38.5
- 33.7 deg, d 2.657, I 33.1
- 36.4 deg, d 2.465, I 35.5
- 44.2 deg, d 2.049, I 45.9
- 57.2 deg, d 1.609, I 36.6
- 58.9 deg, d 1.569, I 43.1

=====

Diffraction record for MgV2Cd2Cu2O8. The powder XRD pattern is computed, not measured: it uses the GGA+U geometry in the Materials Project and Cu Kα X-rays.
Intensities are scaled so that the largest is 100.

Crystal structure
abc: 5.8371 5.8371 6.7233
angles: 90.44 90.44 61.76
Atoms (fractional coordinates):
Mg 0.0000 0.0000 0.0000
V 0.1643 0.1643 0.7156
V 0.8357 0.8357 0.2844
Cd 0.5000 0.5000 0.0000
Cd 0.5000 0.5000 0.5000
Cu 0.2387 0.2387 0.2352
Cu 0.7613 0.7613 0.7648
O 0.1955 0.7445 0.2369
O 0.2288 0.2288 0.9629
O 0.2555 0.8045 0.7631
O 0.2693 0.2693 0.5035
O 0.7307 0.7307 0.4965
O 0.7445 0.1955 0.2369
O 0.7712 0.7712 0.0371
O 0.8045 0.2555 0.7631

Peak list (12 most intense, 15° ≤ 2θ ≤ 90°, in order of rising 2θ)
- 17.2 deg, d 5.142, I 45.9
- 29.8 deg, d 2.996, I 93.2
- 30.6 deg, d 2.917, I 74.1
- 31.7 deg, d 2.820, I 31.5
- 31.9 deg, d 2.806, I 100.0
- 32.2 deg, d 2.780, I 23.3
- 35.9 deg, d 2.505, I 44.0
- 44.3 deg, d 2.047, I 54.5
- 44.5 deg, d 2.038, I 37.3
- 47.3 deg, d 1.922, I 24.0
- 53.5 deg, d 1.714, I 17.2
- 54.6 deg, d 1.681, I 19.2

=====

Diffraction record for Rb2V6CdCu9O26. The powder XRD pattern is computed, not measured: it uses the GGA+U geometry in the Materials Project and Cu Kα X-rays.
Intensities are scaled so that the largest is 100.

Crystal structure
abc: 8.3787 6.2517 10.9935
angles: 90.00 97.67 90.00
Atoms (fractional coordinates):
Rb 0.0000 0.0000 0.0000
Rb 0.0272 0.5000 0.7887
V 0.0462 0.0000 0.5962
V 0.3317 0.0000 0.2741
V 0.3810 0.0000 0.8952
V 0.6331 0.5000 0.8942
V 0.6889 0.5000 0.5097
V 0.9817 0.5000 0.1832
Cd 0.7058 0.0000 0.7524
Cu 0.1143 0.5000 0.4947
Cu 0.3123 0.5000 0.0277
Cu 0.3659 0.5000 0.3297
Cu 0.4035 0.2543 0.6179
Cu 0.4035 0.7457 0.6179
Cu 0.6148 0.2505 0.1658
Cu 0.6148 0.7495 0.1658
Cu 0.6541 0.0000 0.4505
Cu 0.9055 0.0000 0.2876
O 0.0873 0.5000 0.0595
O 0.1281 0.0000 0.2749
O 0.1304 0.5000 0.3140
O 0.1690 0.2302 0.6008
O 0.1690 0.7698 0.6008
O 0.2729 0.2260 0.9215
O 0.2729 0.7740 0.9215
O 0.3535 0.5000 0.5095
O 0.3889 0.2408 0.2012
O 0.3889 0.7592 0.2012
O 0.4225 0.0000 0.4260
O 0.4340 0.0000 0.7281
O 0.4784 0.5000 0.7775
O 0.5466 0.0000 0.0026
O 0.5542 0.5000 0.0551
O 0.5980 0.5000 0.3574
O 0.6337 0.2593 0.5843
O 0.6337 0.7407 0.5843
O 0.6674 0.0000 0.2689
O 0.7533 0.2833 0.8775
O 0.7533 0.7167 0.8775
O 0.8521 0.2747 0.1778
O 0.8521 0.7253 0.1778
O 0.8902 0.0000 0.4697
O 0.8917 0.5000 0.5086
O 0.9621 0.0000 0.7288

Peak list (12 most intense, 15° ≤ 2θ ≤ 90°, in order of rising 2θ)
- 28.6 deg, d 3.126, I 67.1
- 29.0 deg, d 3.079, I 64.1
- 30.5 deg, d 2.930, I 46.4
- 31.6 deg, d 2.831, I 100.0
- 32.3 deg, d 2.769, I 61.2
- 33.0 deg, d 2.711, I 48.7
- 33.7 deg, d 2.656, I 44.3
- 36.3 deg, d 2.477, I 35.7
- 37.6 deg, d 2.393, I 36.3
- 44.1 deg, d 2.054, I 54.6
- 57.7 deg, d 1.597, I 37.6
- 59.1 deg, d 1.563, I 38.8

=====

Diffraction record for VCdCuO4. The powder XRD pattern is computed, not measured: it uses the GGA+U geometry in the Materials Project and Cu Kα X-rays.
Intensities are scaled so that the largest is 100.

Crystal structure
abc: 5.5179 5.5179 6.5644
angles: 90.00 90.00 113.03
Atoms (fractional coordinates):
V 0.1341 0.8659 0.7500
V 0.8659 0.1341 0.2500
Cd 0.5000 0.5000 0.0000
Cd 0.5000 0.5000 0.5000
Cu 0.1939 0.8061 0.2500
Cu 0.8061 0.1939 0.7500
O 0.2165 0.2523 0.2500
O 0.2413 0.7587 0.5308
O 0.2413 0.7587 0.9692
O 0.2523 0.2165 0.7500
O 0.7477 0.7835 0.2500
O 0.7587 0.2413 0.0308
O 0.7587 0.2413 0.4692
O 0.7835 0.7477 0.7500

Peak list (12 most intense, 15° ≤ 2θ ≤ 90°, in order of rising 2θ)
- 17.5 deg, d 5.078, I 19.3
- 29.3 deg, d 3.045, I 60.1
- 32.5 deg, d 2.757, I 100.0
- 32.7 deg, d 2.740, I 77.9
- 33.5 deg, d 2.672, I 18.2
- 45.1 deg, d 2.008, I 41.8
- 54.0 deg, d 1.697, I 19.2
- 54.2 deg, d 1.693, I 18.9
- 56.0 deg, d 1.641, I 14.8
- 57.5 deg, d 1.602, I 24.4
- 59.5 deg, d 1.552, I 13.0
- 66.4 deg, d 1.408, I 18.5

=====

Diffraction record for V8Cd3CuO24. The powder XRD pattern is computed, not measured: it uses the GGA+U geometry in the Materials Project and Cu Kα X-rays.
Intensities are scaled so that the largest is 100.

Crystal structure
abc: 6.9257 3.6103 17.6572
angles: 90.00 90.33 90.00
Atoms (fractional coordinates):
V 0.0442 0.0000 0.0932
V 0.2028 0.5000 0.6523
V 0.2956 0.5000 0.8429
V 0.4463 0.0000 0.4076
V 0.5537 0.0000 0.5924
V 0.7044 0.5000 0.1571
V 0.7972 0.5000 0.3477
V 0.9558 0.0000 0.9068
Cd 0.2484 0.5000 0.2488
Cd 0.5000 0.0000 0.0000
Cd 0.7516 0.5000 0.7512
Cu 0.0000 0.0000 0.5000
O 0.0329 0.5000 0.9019
O 0.0439 0.5000 0.5781
O 0.0659 0.5000 0.7331
O 0.1830 0.0000 0.0135
O 0.2062 0.0000 0.1665
O 0.2166 0.0000 0.8477
O 0.2851 0.0000 0.6498
O 0.2907 0.0000 0.4842
O 0.2932 0.0000 0.3327
O 0.4351 0.5000 0.7640
O 0.4560 0.5000 0.9168
O 0.4713 0.5000 0.5951
O 0.5287 0.5000 0.4049
O 0.5440 0.5000 0.0832
O 0.5649 0.5000 0.2360
O 0.7068 0.0000 0.6673
O 0.7093 0.0000 0.5158
O 0.7149 0.0000 0.3502
O 0.7834 0.0000 0.1523
O 0.7938 0.0000 0.8335
O 0.8170 0.0000 0.9865
O 0.9341 0.5000 0.2669
O 0.9561 0.5000 0.4219
O 0.9671 0.5000 0.0981

Peak list (12 most intense, 15° ≤ 2θ ≤ 90°, in order of rising 2θ)
- 19.7 deg, d 4.498, I 46.9
- 26.7 deg, d 3.342, I 100.0
- 27.6 deg, d 3.230, I 82.2
- 28.4 deg, d 3.139, I 85.2
- 31.9 deg, d 2.809, I 70.7
- 35.9 deg, d 2.499, I 22.5
- 37.9 deg, d 2.375, I 58.9
- 42.1 deg, d 2.145, I 21.9
- 50.6 deg, d 1.805, I 32.0
- 53.9 deg, d 1.700, I 24.8
- 58.6 deg, d 1.576, I 28.4
- 59.9 deg, d 1.544, I 29.3